Structure and simulated powder X-ray diffraction pattern of Mg6CrCdO8 (a GGA+U-relaxed structure; Cu Kα (weighted mean of Kα1 and Kα2)).
Kinematic intensities with the Lorentz-polarization factor, no thermal factor.

Most intense lines, 2θ from 10° to 90°, by intensity:
2theta  d (Å)  Rel. int.
41.0  2.202  100
59.8  1.547  56
35.5  2.531  54
41.6  2.172  47
20.2  4.404  43
28.9  3.093  36
59.4  1.557  29
75.1  1.266  26
20.4  4.345  21
10.2  8.690  18
28.7  3.114  18
71.1  1.326  17

Crystal structure
```
Mg6CrCdO8
1.0
4.404 0.000 0.000
0.000 4.404 0.000
0.000 0.000 8.690
Mg Cr Cd O
6 1 1 8
Cartesian
0.000 0.000 0.000
0.000 0.000 4.345
0.000 2.202 2.131
0.000 2.202 6.559
2.202 0.000 2.131
2.202 0.000 6.559
2.202 2.202 0.000
2.202 2.202 4.345
0.000 0.000 2.171
0.000 0.000 6.519
0.000 2.202 0.000
0.000 2.202 4.345
2.202 0.000 0.000
2.202 0.000 4.345
2.202 2.202 2.032
2.202 2.202 6.657
```